LaB4Os: calculated powder diffractogram (copper Kα), based on a cell relaxed with PBE.
No peak broadening, texture or thermal motion is included.

Lattice parameters (Å, degrees): 3.1275 5.4156 7.9140 90.00 90.00 90.00
Space group Immm (No. 71)
Inequivalent atoms, fractional coordinates:
La 0.0000 0.0000 0.0000 x2
B 0.0000 0.3361 0.2460 x8
Os 0.0000 0.0000 0.5000 x2

Most intense lines, 15 to 90 degrees two-theta, by intensity:
Position (°2θ), I/Imax, h k l
40.36, 100, 1 1 2
33.08, 71, 0 2 0
22.47, 54, 0 0 2
57.71, 30, 0 2 4
64.03, 20, 2 0 2
59.08, 18, 2 0 0

LaBOs: calculated powder diffractogram (copper Kα), based on a cell relaxed with PBE.
No peak broadening, texture or thermal motion is included.

Lattice parameters (Å, degrees): 3.0308 3.0308 5.5438 90.00 90.00 90.00
Space group P4/mmm (No. 123)
Inequivalent atoms, fractional coordinates:
La 0.0000 0.0000 0.0000 x1
B 0.0000 0.0000 0.5000 x1
Os 0.5000 0.5000 0.5000 x1

Most intense lines, 15 to 90 degrees two-theta, by intensity:
Position (°2θ), I/Imax, h k l
33.70, 100, 1 0 1
32.30, 31, 0 0 2
42.17, 30, 1 1 0
54.09, 29, 1 1 2
71.68, 23, 2 1 1
58.50, 21, 1 0 3

LaPrB2Pd8: calculated powder diffractogram (copper Kα), based on a cell relaxed with PBE.
No peak broadening, texture or thermal motion is included.

Lattice parameters (Å, degrees): 5.5122 5.5122 7.6733 90.00 90.00 120.00
Space group P6/mmm (No. 191)
Inequivalent atoms, fractional coordinates:
La 0.0000 0.0000 0.0000 x1
Pr 0.0000 0.0000 0.5000 x1
B 0.3333 0.6667 0.0000 x2
Pd 0.0000 0.5000 0.1962 x6
Pd 0.3333 0.6667 0.5000 x2

Most intense lines, 15 to 90 degrees two-theta, by intensity:
Position (°2θ), I/Imax, h k l
40.29, 100, 1 1 2
37.69, 86, 2 0 0
29.88, 53, 1 0 2
35.08, 31, 0 0 3
68.03, 30, 2 2 0
63.27, 26, 3 0 2